Structure and calculated powder diffraction line list of Rb3NbH4C6O15 (the PBE geometry in OQMD; Cu Kα (weighted mean of Kα1 and Kα2)).

Peak list (10 most intense, 15° ≤ 2θ ≤ 90°, low angle first)
5.047 Å, rel. 70
3.815 Å, rel. 56
3.747 Å, rel. 48
3.723 Å, rel. 65
3.501 Å, rel. 100
2.916 Å, rel. 68
2.852 Å, rel. 42
2.748 Å, rel. 35
2.459 Å, rel. 39
2.027 Å, rel. 55

Cell and atoms:
```
data_Rb3NbH4C6O15
_cell_length_a 7.7590
_cell_length_b 8.7860
_cell_length_c 11.1658
_cell_angle_alpha 80.09
_cell_angle_beta 87.92
_cell_angle_gamma 88.25
_symmetry_space_group_name_H-M 'P 1'
_symmetry_Int_Tables_number 1
loop_
_symmetry_equiv_pos_as_xyz
'x,y,z'
loop_
_atom_site_label
_atom_site_type_symbol
_atom_site_fract_x
_atom_site_fract_y
_atom_site_fract_z
_atom_site_occupancy
Rb1 Rb 0.0191 0.2401 0.3676 1
Rb2 Rb 0.1418 0.3267 0.9257 1
Rb3 Rb 0.3707 0.0326 0.6466 1
Rb4 Rb 0.6293 0.9674 0.3534 1
Rb5 Rb 0.8582 0.6733 0.0743 1
Rb6 Rb 0.9809 0.7599 0.6324 1
Nb1 Nb 0.3248 0.6242 0.1673 1
Nb2 Nb 0.6752 0.3758 0.8327 1
H1 H 0.0308 0.0507 0.1307 1
H2 H 0.1718 0.4115 0.5960 1
H3 H 0.2254 0.0965 0.1471 1
H4 H 0.2616 0.5029 0.4829 1
H5 H 0.7384 0.4971 0.5171 1
H6 H 0.7746 0.9035 0.8529 1
H7 H 0.8282 0.5885 0.4040 1
H8 H 0.9692 0.9493 0.8693 1
C1 C 0.0652 0.7533 0.3341 1
C2 C 0.2357 0.8266 0.3591 1
C3 C 0.2636 0.9023 0.9683 1
C4 C 0.4144 0.6265 0.7475 1
C5 C 0.4349 0.3420 0.3456 1
C6 C 0.4535 0.8539 0.9531 1
C7 C 0.5465 0.1461 0.0469 1
C8 C 0.5651 0.6580 0.6544 1
C9 C 0.5856 0.3735 0.2525 1
C10 C 0.7364 0.0977 0.0317 1
C11 C 0.7643 0.1734 0.6409 1
C12 C 0.9348 0.2467 0.6659 1
O1 O 0.0742 0.2134 0.6169 1
O2 O 0.0806 0.6523 0.2632 1
O3 O 0.1031 0.1256 0.1602 1
O4 O 0.1891 0.8241 0.0638 1
O5 O 0.1958 0.0076 0.8952 1
O6 O 0.2104 0.5044 0.0890 1
O7 O 0.2172 0.5147 0.5645 1
O8 O 0.2389 0.9157 0.4335 1
O9 O 0.2927 0.7183 0.7539 1
O10 O 0.3188 0.4540 0.3336 1
O11 O 0.3658 0.7804 0.2972 1
O12 O 0.4240 0.2223 0.4207 1
O13 O 0.4344 0.4950 0.8206 1
O14 O 0.4509 0.0774 0.1284 1
O15 O 0.4991 0.2621 0.9656 1
O16 O 0.5009 0.7379 0.0344 1
O17 O 0.5491 0.9226 0.8716 1
O18 O 0.5656 0.5050 0.1794 1
O19 O 0.5760 0.7777 0.5793 1
O20 O 0.6342 0.2196 0.7028 1
O21 O 0.6812 0.5460 0.6664 1
O22 O 0.7073 0.2817 0.2461 1
O23 O 0.7611 0.0843 0.5665 1
O24 O 0.7828 0.4853 0.4355 1
O25 O 0.7896 0.4956 0.9110 1
O26 O 0.8042 0.9924 0.1048 1
O27 O 0.8109 0.1759 0.9362 1
O28 O 0.8969 0.8744 0.8398 1
O29 O 0.9194 0.3477 0.7368 1
O30 O 0.9258 0.7866 0.3831 1
```